# Ac2TmPb
Simulated X-ray powder pattern, CuKα. Input: DFT lattice parameters and positions (GGA-PBE).

Largest 6 diffraction maxima, by angle, 2θ = 10–90°:
Position (°2θ)	d (Å)	I/Imax
29.76	3.002	100
30.78	2.905	22
31.61	2.831	14
32.43	2.761	21
35.05	2.560	16
45.32	2.001	12

Structure:
a = 8.0150 Å, b = 7.3731 Å, c = 7.1478 Å
α = 66.98°, β = 57.85°, γ = 55.17°
Atoms (fractional coordinates):
Ac: 0.1973 0.8027 0.8027
Ac: 0.2500 0.2500 0.2500
Ac: 0.7500 0.7500 0.7500
Ac: 0.8027 0.1973 0.1973
Tm: 0.2945 0.7055 0.2945
Tm: 0.7055 0.2945 0.7055
Pb: 0.2942 0.2942 0.7058
Pb: 0.7058 0.7058 0.2942